For Ac3Ce2Pb3, a cell relaxed with PBE gives the theoretical powder X-ray diffraction pattern in this record (Cu Kα, 1.54184 Å).
Lines closer than 0.1° are merged.

Largest 8 diffraction maxima, most intense first, 10° ≤ 2θ ≤ 90°:
2θ = 30.59°, intensity 100, hkl 2 1 1; 2θ = 31.91°, intensity 54, hkl 1 1 2; 2θ = 31.35°, intensity 35, hkl 3 0 0; 2θ = 49.02°, intensity 28, hkl 2 1 3; 2θ = 26.17°, intensity 25, hkl 0 0 2; 2θ = 27.57°, intensity 20, hkl 2 1 0; 2θ = 40.23°, intensity 18, hkl 3 1 1; 2θ = 60.53°, intensity 14, hkl 5 0 2

Crystal structure
```
Ac3Ce2Pb3
1.0
9.8845 0.0000 0.0000
-4.9422 8.5602 0.0000
0.0000 0.0000 6.8112
Ac Ce Pb
6 4 6
direct
0.0000 0.2510 0.2500
0.0000 0.7490 0.7500
0.2510 0.0000 0.2500
0.2510 0.2510 0.7500
0.7490 0.0000 0.7500
0.7490 0.7490 0.2500
0.3333 0.6667 0.0000
0.3333 0.6667 0.5000
0.6667 0.3333 0.0000
0.6667 0.3333 0.5000
0.0000 0.3968 0.7500
0.0000 0.6032 0.2500
0.3968 0.0000 0.7500
0.3968 0.3968 0.2500
0.6032 0.0000 0.2500
0.6032 0.6032 0.7500
```